Record 1
Structure and computed XRD peak list of LiPu2Ga9 (the PBE geometry in Alexandria; Cu Ka).
No peak broadening, texture or thermal motion is included.

Atomic structure:
a b c (Å): 5.5143 5.5143 27.0523
angles (deg): 90.00 90.00 120.00
Space group R-3m (No. 166, hexagonal axes)
One atom of each set of equivalent atoms:
Li 0.0000 0.0000 0.0000
Pu 0.0000 0.0000 0.1438
Ga 0.0000 0.0000 0.3357
Ga 0.0000 0.0000 0.5000
Ga 0.0069 0.5034 0.9155

Principal peaks in the range 10 to 90 degrees two-theta, low angle first:
| Position (°2θ) | d_spacing | I_rel |
| --- | --- | --- |
| 22.80 | 3.901 | 33 |
| 29.74 | 3.004 | 29 |
| 32.46 | 2.758 | 56 |
| 34.00 | 2.637 | 26 |
| 37.82 | 2.378 | 23 |
| 38.26 | 2.353 | 100 |
| 40.03 | 2.252 | 39 |
| 41.31 | 2.186 | 53 |
| 61.79 | 1.501 | 41 |
| 67.99 | 1.379 | 22 |

***

Record 2
Structure and computed XRD peak list of RbLiGaSb2 (the PBE geometry in Alexandria; Cu Ka).
No peak broadening, texture or thermal motion is included.

Atomic structure:
a b c (Å): 4.9383 4.9383 12.0567
angles (deg): 90.00 90.00 90.00
Space group I-4m2 (No. 119)
One atom of each set of equivalent atoms:
Rb 0.0000 0.0000 0.0000
Li 0.0000 0.5000 0.2500
Ga 0.0000 0.5000 0.7500
Sb 0.0000 0.0000 0.3735

Principal peaks in the range 10 to 90 degrees two-theta, low angle first:
| Position (°2θ) | d_spacing | I_rel |
| --- | --- | --- |
| 19.42 | 4.570 | 40 |
| 25.51 | 3.492 | 57 |
| 28.64 | 3.117 | 100 |
| 29.57 | 3.021 | 34 |
| 36.39 | 2.469 | 59 |
| 39.49 | 2.282 | 31 |
| 41.68 | 2.167 | 32 |
| 46.94 | 1.936 | 50 |
| 52.40 | 1.746 | 20 |
| 56.50 | 1.629 | 28 |

***

Record 3
Structure and computed XRD peak list of Li4GaRh2 (the PBE geometry in Alexandria; Cu Ka).
No peak broadening, texture or thermal motion is included.

Atomic structure:
a b c (Å): 5.3617 8.5940 9.1315
angles (deg): 90.00 90.00 90.00
Space group Fmm2 (No. 42)
One atom of each set of equivalent atoms:
Li 0.0000 0.0000 0.0000
Li 0.0000 0.0000 0.2646
Li 0.0000 0.2056 0.4645
Ga 0.0000 0.0000 0.7018
Rh 0.2500 0.2500 0.2119

Principal peaks in the range 10 to 90 degrees two-theta, low angle first:
| Position (°2θ) | d_spacing | I_rel |
| --- | --- | --- |
| 19.44 | 4.566 | 100 |
| 20.67 | 4.297 | 22 |
| 21.83 | 4.072 | 18 |
| 28.53 | 3.129 | 18 |
| 39.47 | 2.283 | 19 |
| 39.62 | 2.274 | 35 |
| 42.06 | 2.148 | 16 |
| 44.50 | 2.036 | 52 |
| 46.73 | 1.944 | 24 |
| 57.17 | 1.611 | 23 |

***

Record 4
Structure and computed XRD peak list of Li5GaRh2 (the PBE geometry in Alexandria; Cu Ka).
No peak broadening, texture or thermal motion is included.

Atomic structure:
a b c (Å): 5.4022 10.7601 3.8327
angles (deg): 90.00 90.00 90.00
Space group Pbam (No. 55)
One atom of each set of equivalent atoms:
Li 0.0000 0.0000 0.0000
Li 0.0477 0.2515 0.0000
Li 0.2081 0.8710 0.5000
Ga 0.0000 0.5000 0.0000
Rh 0.1973 0.6146 0.5000

Principal peaks in the range 10 to 90 degrees two-theta, low angle first:
| Position (°2θ) | d_spacing | I_rel |
| --- | --- | --- |
| 16.48 | 5.380 | 29 |
| 18.38 | 4.828 | 69 |
| 23.21 | 3.833 | 25 |
| 23.33 | 3.812 | 100 |
| 33.15 | 2.703 | 85 |
| 40.87 | 2.208 | 44 |
| 40.99 | 2.202 | 58 |
| 47.44 | 1.916 | 20 |
| 47.71 | 1.906 | 27 |
| 53.52 | 1.712 | 20 |

***

Record 5
Structure and computed XRD peak list of Li3Ga4Rh2 (the PBE geometry in Alexandria; Cu Ka).
No peak broadening, texture or thermal motion is included.

Atomic structure:
a b c (Å): 4.2650 4.2650 8.0334
angles (deg): 90.00 90.00 120.00
Space group P-3m1 (No. 164)
One atom of each set of equivalent atoms:
Li 0.0000 0.0000 0.0000
Li 0.3333 0.6667 0.4467
Ga 0.0000 0.0000 0.3296
Ga 0.3333 0.6667 0.1145
Rh 0.3333 0.6667 0.7898

Principal peaks in the range 10 to 90 degrees two-theta, low angle first:
| Position (°2θ) | d_spacing | I_rel |
| --- | --- | --- |
| 11.01 | 8.033 | 25 |
| 22.13 | 4.017 | 36 |
| 26.56 | 3.356 | 72 |
| 41.66 | 2.168 | 100 |
| 42.39 | 2.133 | 97 |
| 48.32 | 1.884 | 26 |
| 60.94 | 1.520 | 32 |
| 75.53 | 1.259 | 16 |
| 77.03 | 1.238 | 31 |
| 77.53 | 1.231 | 16 |

***

Record 6
Structure and computed XRD peak list of Li5Ga6Rh (the PBE geometry in Alexandria; Cu Ka).
No peak broadening, texture or thermal motion is included.

Atomic structure:
a b c (Å): 3.9339 11.6879 7.8913
angles (deg): 90.00 90.00 90.00
Space group Cmmm (No. 65)
One atom of each set of equivalent atoms:
Li 0.0000 0.0000 0.0000
Li 0.0000 0.3337 0.0000
Li 0.0000 0.3362 0.5000
Ga 0.0000 0.1662 0.2575
Ga 0.0000 0.5000 0.2667
Rh 0.0000 0.0000 0.5000

Principal peaks in the range 10 to 90 degrees two-theta, low angle first:
| Position (°2θ) | d_spacing | I_rel |
| --- | --- | --- |
| 11.21 | 7.891 | 28 |
| 18.90 | 4.696 | 13 |
| 22.53 | 3.946 | 32 |
| 32.34 | 2.768 | 26 |
| 39.78 | 2.266 | 100 |
| 46.00 | 1.973 | 16 |
| 46.15 | 1.967 | 16 |
| 46.63 | 1.948 | 18 |
| 81.14 | 1.185 | 12 |
| 81.83 | 1.177 | 11 |

***

Record 7
Structure and computed XRD peak list of Li5Ga2Rh (the PBE geometry in Alexandria; Cu Ka).
No peak broadening, texture or thermal motion is included.

Atomic structure:
a b c (Å): 5.4334 10.7595 4.0688
angles (deg): 90.00 90.00 90.00
Space group Pbam (No. 55)
One atom of each set of equivalent atoms:
Li 0.0000 0.0000 0.0000
Li 0.0897 0.2472 0.0000
Li 0.2061 0.8693 0.5000
Ga 0.1869 0.6099 0.5000
Rh 0.0000 0.5000 0.0000

Principal peaks in the range 10 to 90 degrees two-theta, low angle first:
| Position (°2θ) | d_spacing | I_rel |
| --- | --- | --- |
| 16.48 | 5.380 | 51 |
| 18.29 | 4.850 | 100 |
| 23.27 | 3.823 | 42 |
| 32.13 | 2.786 | 37 |
| 37.29 | 2.411 | 28 |
| 39.90 | 2.259 | 34 |
| 40.19 | 2.244 | 47 |
| 47.57 | 1.911 | 25 |
| 50.85 | 1.796 | 25 |
| 56.25 | 1.635 | 19 |

***

Record 8
Structure and computed XRD peak list of Li23Ga6Ru (the PBE geometry in Alexandria; Cu Ka).
No peak broadening, texture or thermal motion is included.

Atomic structure:
a b c (Å): 12.5927 12.5927 12.5927
angles (deg): 90.00 90.00 90.00
Space group Fm-3m (No. 225)
One atom of each set of equivalent atoms:
Li 0.0000 0.0000 0.0000
Li 0.0000 0.2500 0.2500
Li 0.1205 0.1205 0.3795
Li 0.1245 0.1245 0.1245
Ga 0.0000 0.0000 0.2592
Ru 0.0000 0.0000 0.5000

Principal peaks in the range 10 to 90 degrees two-theta, low angle first:
| Position (°2θ) | d_spacing | I_rel |
| --- | --- | --- |
| 12.17 | 7.270 | 46 |
| 14.07 | 6.296 | 100 |
| 24.49 | 3.635 | 52 |
| 28.35 | 3.148 | 74 |
| 31.78 | 2.816 | 52 |
| 40.52 | 2.226 | 99 |
| 43.10 | 2.099 | 28 |
| 47.92 | 1.898 | 24 |
| 66.40 | 1.408 | 24 |
| 73.71 | 1.285 | 30 |

***

Record 9
Structure and computed XRD peak list of LiThGaRu (the PBE geometry in Alexandria; Cu Ka).
No peak broadening, texture or thermal motion is included.

Atomic structure:
a b c (Å): 6.6666 6.6666 6.6666
angles (deg): 90.00 90.00 90.00
Space group F-43m (No. 216)
One atom of each set of equivalent atoms:
Li 0.0000 0.0000 0.0000
Th 0.2500 0.2500 0.2500
Ga 0.2500 0.2500 0.7500
Ru 0.0000 0.0000 0.5000

Principal peaks in the range 10 to 90 degrees two-theta, low angle first:
| Position (°2θ) | d_spacing | I_rel |
| --- | --- | --- |
| 23.11 | 3.849 | 47 |
| 26.74 | 3.333 | 27 |
| 38.18 | 2.357 | 100 |
| 45.11 | 2.010 | 25 |
| 55.10 | 1.667 | 17 |
| 60.54 | 1.529 | 11 |
| 62.28 | 1.491 | 11 |
| 69.02 | 1.361 | 35 |
| 81.71 | 1.178 | 11 |
| 86.33 | 1.127 | 8 |

***

Record 10
Structure and computed XRD peak list of Li3GaS3 (the PBE geometry in Alexandria; Cu Ka).
No peak broadening, texture or thermal motion is included.

Atomic structure:
a b c (Å): 6.9399 6.9630 11.6512
angles (deg): 90.00 94.06 90.00
Space group P2_1/c (No. 14)
One atom of each set of equivalent atoms:
Li 0.1469 0.1527 0.0868
Li 0.1695 0.7501 0.1501
Li 0.1954 0.0955 0.7904
Ga 0.3182 0.5890 0.9261
S 0.1210 0.0574 0.2892
S 0.2083 0.6136 0.4589
S 0.3554 0.0603 0.6080

Principal peaks in the range 10 to 90 degrees two-theta, low angle first:
| Position (°2θ) | d_spacing | I_rel |
| --- | --- | --- |
| 14.83 | 5.973 | 82 |
| 15.25 | 5.811 | 24 |
| 18.07 | 4.909 | 20 |
| 19.25 | 4.610 | 100 |
| 19.91 | 4.459 | 31 |
| 24.32 | 3.661 | 33 |
| 25.59 | 3.482 | 22 |
| 25.74 | 3.461 | 27 |
| 33.42 | 2.681 | 20 |
| 44.34 | 2.043 | 22 |

***

Record 11
Structure and computed XRD peak list of LiGaS2 (the PBE geometry in Alexandria; Cu Ka).
No peak broadening, texture or thermal motion is included.

Atomic structure:
a b c (Å): 3.7426 6.9394 6.3031
angles (deg): 90.00 90.00 90.00
Space group Pmc2_1 (No. 26)
One atom of each set of equivalent atoms:
Li 0.0000 0.1658 0.0000
Ga 0.5000 0.3468 0.4995
S 0.0000 0.1759 0.3878
S 0.5000 0.3470 0.8655

Principal peaks in the range 10 to 90 degrees two-theta, low angle first:
| Position (°2θ) | d_spacing | I_rel |
| --- | --- | --- |
| 12.76 | 6.939 | 64 |
| 19.02 | 4.666 | 100 |
| 23.77 | 3.743 | 37 |
| 27.07 | 3.294 | 74 |
| 28.32 | 3.152 | 57 |
| 30.62 | 2.919 | 36 |
| 38.14 | 2.359 | 39 |
| 46.13 | 1.968 | 51 |
| 51.60 | 1.771 | 44 |
| 55.02 | 1.669 | 30 |

***

Record 12
Structure and computed XRD peak list of LiGa2TeS6 (the PBE geometry in Alexandria; Cu Ka).
No peak broadening, texture or thermal motion is included.

Atomic structure:
a b c (Å): 12.1859 11.1751 6.6670
angles (deg): 90.00 104.86 90.00
Space group C2/c (No. 15)
One atom of each set of equivalent atoms:
Li 0.0000 0.0973 0.2500
Ga 0.1943 0.4055 0.2498
Te 0.0000 0.2440 0.7500
S 0.1083 0.0854 0.6307
S 0.1299 0.4296 0.5490
S 0.1399 0.2216 0.1226

Principal peaks in the range 10 to 90 degrees two-theta, low angle first:
| Position (°2θ) | d_spacing | I_rel |
| --- | --- | --- |
| 15.99 | 5.544 | 45 |
| 21.04 | 4.222 | 68 |
| 21.93 | 4.053 | 57 |
| 24.02 | 3.704 | 33 |
| 24.65 | 3.611 | 79 |
| 27.71 | 3.219 | 100 |
| 27.97 | 3.190 | 36 |
| 30.61 | 2.921 | 61 |
| 35.60 | 2.522 | 42 |
| 50.84 | 1.796 | 59 |

***

Record 13
Structure and computed XRD peak list of Li2Ga2Sb (the PBE geometry in Alexandria; Cu Ka).
No peak broadening, texture or thermal motion is included.

Atomic structure:
a b c (Å): 4.0092 4.0092 12.4587
angles (deg): 90.00 90.00 90.00
Space group I4/mmm (No. 139)
One atom of each set of equivalent atoms:
Li 0.0000 0.5000 0.2500
Ga 0.0000 0.0000 0.0996
Sb 0.0000 0.0000 0.5000

Principal peaks in the range 10 to 90 degrees two-theta, low angle first:
| Position (°2θ) | d_spacing | I_rel |
| --- | --- | --- |
| 14.22 | 6.229 | 100 |
| 31.00 | 2.884 | 70 |
| 31.56 | 2.835 | 81 |
| 34.77 | 2.580 | 59 |
| 42.73 | 2.116 | 75 |
| 45.23 | 2.005 | 34 |
| 47.66 | 1.908 | 19 |
| 55.85 | 1.646 | 26 |
| 56.58 | 1.627 | 13 |
| 63.97 | 1.455 | 44 |